No. 1
# Rb3Tb3USe8
Calculated powder diffractogram, Cu Ka. Input: a DFT-relaxed cell (PBE, Alexandria).
Kinematic intensities with the Lorentz-polarization factor, no thermal factor.

Cell and atoms:
Unit cell a=8.4196 b=8.4330 c=9.4860 alpha=63.68 beta=63.67 gamma=60.06
Space group P-1 (No. 2)
Asymmetric unit:
Rb1 0.0000 0.0000 0.0000 (multiplicity 1)
Rb2 0.0000 0.5000 0.0000 (multiplicity 1)
Rb3 0.5000 0.0000 0.0000 (multiplicity 1)
Tb1 0.0000 0.5000 0.5000 (multiplicity 1)
Tb2 0.5000 0.0000 0.5000 (multiplicity 1)
Tb3 0.5000 0.5000 0.5000 (multiplicity 1)
U1 0.0000 0.0000 0.5000 (multiplicity 1)
Se1 0.2274 0.7350 0.3089 (multiplicity 2)
Se2 0.2275 0.2284 0.3091 (multiplicity 2)
Se3 0.2653 0.7720 0.6912 (multiplicity 2)
Se4 0.2691 0.2681 0.6951 (multiplicity 2)

Largest 10 diffraction maxima, in order of rising 2θ, 2θ = 10–90°:
(0 0 1), 10.86°, rel. 58
(2 0 2), 28.49°, rel. 100
(2 2 -1), 35.58°, rel. 20
(2 2 4), 38.43°, rel. 34
(4 2 2), 42.92°, rel. 36
(4 2 1), 44.41°, rel. 12
(2 0 -3), 47.93°, rel. 12
(4 4 4), 52.35°, rel. 12
(4 0 4), 58.95°, rel. 10
(4 2 6), 63.53°, rel. 10

=====

No. 2
# Rb3TbY3Se8
Calculated powder diffractogram, Cu Ka. Input: a DFT-relaxed cell (PBE, Alexandria).
Kinematic intensities with the Lorentz-polarization factor, no thermal factor.

Cell and atoms:
Unit cell a=14.4675 b=8.3508 c=9.5051 alpha=90.00 beta=120.50 gamma=90.00
Space group C2/m (No. 12)
Asymmetric unit:
Rb1 0.0000 0.0000 0.0000 (multiplicity 2)
Rb2 0.2500 0.2500 0.0000 (multiplicity 4)
Tb1 0.0000 0.0000 0.5000 (multiplicity 2)
Y1 0.0000 0.5000 0.5000 (multiplicity 2)
Y2 0.2500 0.2500 0.5000 (multiplicity 4)
Se1 0.0186 0.2513 0.3061 (multiplicity 8)
Se2 0.2321 0.0000 0.6942 (multiplicity 4)
Se3 0.2327 0.5000 0.6960 (multiplicity 4)

Largest 10 diffraction maxima, in order of rising 2θ, 2θ = 10–90°:
(0 0 1), 10.80°, rel. 31
(2 0 -1), 12.76°, rel. 9
(4 0 0), 28.64°, rel. 100
(2 2 -3), 35.65°, rel. 14
(2 2 2), 38.45°, rel. 32
(0 4 0), 43.34°, rel. 35
(4 0 -5), 47.86°, rel. 9
(4 4 0), 52.77°, rel. 18
(8 0 0), 59.31°, rel. 9
(10 2 -2), 70.59°, rel. 15

=====

No. 3
# Rb2Te3Se8
Calculated powder diffractogram, Cu Ka. Input: a DFT-relaxed cell (PBE, Alexandria).
Kinematic intensities with the Lorentz-polarization factor, no thermal factor.

Cell and atoms:
Unit cell a=7.1385 b=8.8634 c=9.2671 alpha=96.68 beta=102.50 gamma=106.53
Space group P-1 (No. 2)
Asymmetric unit:
Rb1 0.2428 0.4210 0.1929 (multiplicity 2)
Te1 0.0000 0.5000 0.5000 (multiplicity 1)
Te2 0.2479 0.0835 0.8625 (multiplicity 2)
Se1 0.1333 0.9682 0.2378 (multiplicity 2)
Se2 0.1345 0.3944 0.7681 (multiplicity 2)
Se3 0.2252 0.8488 0.0140 (multiplicity 2)
Se4 0.3118 0.6694 0.7604 (multiplicity 2)

Largest 10 diffraction maxima, in order of rising 2θ, 2θ = 10–90°:
(0 1 -1), 13.11°, rel. 62
(1 0 0), 13.41°, rel. 76
(0 1 1), 15.90°, rel. 52
(0 2 0), 21.30°, rel. 48
(0 2 -1), 21.75°, rel. 43
(-1 1 2), 23.32°, rel. 67
(2 0 0), 27.00°, rel. 56
(-2 2 1), 29.36°, rel. 100
(0 3 -2), 34.65°, rel. 49
(2 -2 2), 36.92°, rel. 44

=====

No. 4
# Rb4Te2Se5
Calculated powder diffractogram, Cu Ka. Input: a DFT-relaxed cell (PBE, Alexandria).
Kinematic intensities with the Lorentz-polarization factor, no thermal factor.

Cell and atoms:
Unit cell a=11.8767 b=8.0372 c=9.8439 alpha=90.00 beta=95.56 gamma=90.00
Space group Cm (No. 8)
Asymmetric unit:
Rb1 0.0000 0.0000 0.0000 (multiplicity 2)
Rb2 0.0282 0.5000 0.9630 (multiplicity 2)
Rb3 0.2908 0.0000 0.2622 (multiplicity 2)
Rb4 0.4262 0.5000 0.5419 (multiplicity 2)
Te1 0.0934 0.5000 0.4386 (multiplicity 2)
Te2 0.2356 0.0000 0.7658 (multiplicity 2)
Se1 0.0427 0.2457 0.2925 (multiplicity 4)
Se2 0.2604 0.2446 0.9293 (multiplicity 4)
Se3 0.4229 0.0000 0.6069 (multiplicity 2)

Largest 10 diffraction maxima, in order of rising 2θ, 2θ = 10–90°:
(1 1 0), 13.32°, rel. 36
(2 0 1), 18.27°, rel. 38
(1 1 -2), 21.95°, rel. 58
(2 0 2), 24.70°, rel. 31
(3 1 0), 25.17°, rel. 40
(4 0 -1), 30.74°, rel. 51
(2 2 -2), 31.70°, rel. 45
(2 2 2), 33.40°, rel. 100
(0 4 0), 45.12°, rel. 30
(6 2 1), 53.44°, rel. 35

=====

No. 5
# Rb4TeSe5
Calculated powder diffractogram, Cu Ka. Input: a DFT-relaxed cell (PBE, Alexandria).
Kinematic intensities with the Lorentz-polarization factor, no thermal factor.

Cell and atoms:
Unit cell a=10.7848 b=10.7848 c=6.9945 alpha=90.00 beta=90.00 gamma=90.00
Space group I4 (No. 79)
Asymmetric unit:
Rb1 0.1009 0.2940 0.0000 (multiplicity 8)
Te1 0.0000 0.0000 0.4317 (multiplicity 2)
Se1 0.0000 0.0000 0.0701 (multiplicity 2)
Se2 0.0728 0.2358 0.5011 (multiplicity 8)

Largest 10 diffraction maxima, in order of rising 2θ, 2θ = 10–90°:
(1 1 0), 11.60°, rel. 27
(1 0 1), 15.10°, rel. 24
(2 1 1), 22.39°, rel. 19
(0 0 2), 25.47°, rel. 60
(1 3 0), 26.13°, rel. 100
(1 3 2), 36.81°, rel. 70
(4 2 0), 37.29°, rel. 33
(5 0 1), 43.93°, rel. 22
(4 2 2), 45.70°, rel. 27
(1 3 4), 59.40°, rel. 14

=====

No. 6
# RbTe2Se4
Calculated powder diffractogram, Cu Ka. Input: a DFT-relaxed cell (PBE, Alexandria).
Kinematic intensities with the Lorentz-polarization factor, no thermal factor.

Cell and atoms:
Unit cell a=13.2894 b=10.8354 c=9.0989 alpha=90.00 beta=126.27 gamma=90.00
Space group C2 (No. 5)
Asymmetric unit:
Rb1 0.0000 0.0000 0.0000 (multiplicity 2)
Rb2 0.0000 0.0699 0.5000 (multiplicity 2)
Te1 0.0351 0.4929 0.2550 (multiplicity 4)
Te2 0.1934 0.7624 0.6924 (multiplicity 4)
Se1 0.0179 0.7834 0.7287 (multiplicity 4)
Se2 0.0706 0.2619 0.2932 (multiplicity 4)
Se3 0.1806 0.5410 0.1672 (multiplicity 4)
Se4 0.1848 0.5234 0.6290 (multiplicity 4)

Largest 10 diffraction maxima, in order of rising 2θ, 2θ = 10–90°:
(1 1 0), 11.62°, rel. 62
(1 1 -1), 12.75°, rel. 100
(1 1 1), 20.03°, rel. 56
(0 0 2), 24.27°, rel. 64
(1 3 -1), 26.58°, rel. 49
(4 0 -2), 27.24°, rel. 48
(1 1 2), 31.20°, rel. 94
(0 4 0), 33.07°, rel. 91
(5 1 -2), 34.76°, rel. 56
(1 3 2), 39.25°, rel. 45

=====

No. 7
# Rb2Te2Se
Calculated powder diffractogram, Cu Ka. Input: a DFT-relaxed cell (PBE, Alexandria).
Kinematic intensities with the Lorentz-polarization factor, no thermal factor.

Cell and atoms:
Unit cell a=7.1863 b=7.1863 c=8.5355 alpha=90.00 beta=90.00 gamma=90.00
Space group I4/mmm (No. 139)
Asymmetric unit:
Rb1 0.0000 0.5000 0.2500 (multiplicity 4)
Te1 0.0000 0.0000 0.1729 (multiplicity 4)
Se1 0.0000 0.0000 0.5000 (multiplicity 2)

Largest 10 diffraction maxima, in order of rising 2θ, 2θ = 10–90°:
(1 1 0), 17.45°, rel. 22
(0 0 2), 20.81°, rel. 17
(2 0 0), 24.78°, rel. 100
(2 0 2), 32.58°, rel. 21
(1 0 3), 33.89°, rel. 37
(2 2 0), 35.33°, rel. 39
(2 1 3), 42.43°, rel. 41
(3 0 3), 49.75°, rel. 16
(3 2 3), 56.35°, rel. 19
(4 2 0), 57.34°, rel. 19

=====

No. 8
# Rb2Tl2Te2Se
Calculated powder diffractogram, Cu Ka. Input: a DFT-relaxed cell (PBE, Alexandria).
Kinematic intensities with the Lorentz-polarization factor, no thermal factor.

Cell and atoms:
Unit cell a=16.0293 b=4.7705 c=9.2530 alpha=90.00 beta=122.89 gamma=90.00
Space group C2/m (No. 12)
Asymmetric unit:
Rb1 0.0428 0.0000 0.2757 (multiplicity 4)
Tl1 0.1937 0.5000 0.7915 (multiplicity 4)
Te1 0.1613 0.5000 0.1077 (multiplicity 4)
Se1 0.0000 0.5000 0.5000 (multiplicity 2)

Largest 10 diffraction maxima, in order of rising 2θ, 2θ = 10–90°:
(0 0 1), 11.39°, rel. 32
(2 0 -1), 11.83°, rel. 70
(1 1 1), 24.61°, rel. 41
(3 1 0), 27.29°, rel. 100
(3 1 -2), 27.87°, rel. 86
(2 0 -3), 29.47°, rel. 31
(4 0 -3), 30.01°, rel. 36
(4 0 1), 34.32°, rel. 28
(0 2 0), 37.69°, rel. 72
(1 1 3), 43.37°, rel. 46